1.
Structure and computed X-ray powder pattern of Th2BiTe (a DFT-relaxed cell (GGA-PBE, the Materials Project); Cu Kα).
Neutral-atom scattering factors, no anomalous dispersion.

Principal peaks in the range 10° ≤ 2θ ≤ 90°, by intensity:
Position (°2θ)	I (rel.)
32.49	100
57.97	40
46.61	19
77.45	17
68.05	12
86.51	5
22.82	3
19.73	2
38.30	2
52.51	1

Atomic structure:
```
data_Th2BiTe
_chemical_formula_sum 'Th2 Bi1 Te1'
_symmetry_space_group_name_H-M 'P 1'
_symmetry_Int_Tables_number 1
_cell_length_a 5.5112
_cell_length_b 5.5112
_cell_length_c 5.5112
_cell_angle_alpha 60.00
_cell_angle_beta 60.00
_cell_angle_gamma 60.00
loop_
_symmetry_equiv_pos_as_xyz
'x,y,z'
loop_
_atom_site_label
_atom_site_fract_x
_atom_site_fract_y
_atom_site_fract_z
_atom_site_occupancy
Th1 0.2500 0.2500 0.2500 1
Th2 0.7500 0.7500 0.7500 1
Bi1 0.0000 0.0000 0.0000 1
Te1 0.5000 0.5000 0.5000 1
```

2.
Structure and computed X-ray powder pattern of TlBiTe2 (a DFT-relaxed cell (GGA-PBE, the Materials Project); Cu Kα).
Neutral-atom scattering factors, no anomalous dispersion.

Principal peaks in the range 10° ≤ 2θ ≤ 90°, by intensity:
Position (°2θ)	I (rel.)
26.89	100
37.54	39
39.23	38
48.20	21
63.83	18
61.46	17
69.99	13
55.42	13
23.56	8
45.32	7

Atomic structure:
```
data_TlBiTe2
_chemical_formula_sum 'Tl1 Bi1 Te2'
_symmetry_space_group_name_H-M 'P 1'
_symmetry_Int_Tables_number 1
_cell_length_a 8.4326
_cell_length_b 8.4326
_cell_length_c 8.4326
_cell_angle_alpha 31.61
_cell_angle_beta 31.61
_cell_angle_gamma 31.61
loop_
_symmetry_equiv_pos_as_xyz
'x,y,z'
loop_
_atom_site_label
_atom_site_fract_x
_atom_site_fract_y
_atom_site_fract_z
_atom_site_occupancy
Tl1 0.0000 0.0000 0.0000 1
Bi1 0.5000 0.5000 0.5000 1
Te1 0.2399 0.2399 0.2399 1
Te2 0.7601 0.7601 0.7601 1
```

3.
Structure and computed X-ray powder pattern of Tl9BiTe6 (a DFT-relaxed cell (GGA-PBE, the Materials Project); Cu Kα).
Neutral-atom scattering factors, no anomalous dispersion.

Principal peaks in the range 10° ≤ 2θ ≤ 90°, by intensity:
Position (°2θ)	I (rel.)
29.82	100
31.49	56
59.06	21
51.86	16
29.99	16
40.11	15
66.60	12
58.06	12
46.30	12
45.13	10

Atomic structure:
```
data_Tl9BiTe6
_chemical_formula_sum 'Tl9 Bi1 Te6'
_symmetry_space_group_name_H-M 'P 1'
_symmetry_Int_Tables_number 1
_cell_length_a 9.2667
_cell_length_b 9.2667
_cell_length_c 9.2667
_cell_angle_alpha 122.01
_cell_angle_beta 122.01
_cell_angle_gamma 86.55
loop_
_symmetry_equiv_pos_as_xyz
'x,y,z'
loop_
_atom_site_label
_atom_site_fract_x
_atom_site_fract_y
_atom_site_fract_z
_atom_site_occupancy
Tl1 0.0000 0.0000 0.0000 1
Tl2 0.0113 0.5112 0.2066 1
Tl3 0.1953 0.9887 0.4999 1
Tl4 0.3046 0.8047 0.7934 1
Tl5 0.4888 0.6954 0.5001 1
Tl6 0.5112 0.3046 0.4999 1
Tl7 0.6954 0.1953 0.2066 1
Tl8 0.8047 0.0113 0.5001 1
Tl9 0.9887 0.4888 0.7934 1
Bi1 0.5000 0.5000 0.0000 1
Te1 0.1736 0.3480 0.5217 1
Te2 0.2611 0.2611 0.0000 1
Te3 0.3480 0.8264 0.1744 1
Te4 0.6520 0.1736 0.8256 1
Te5 0.7389 0.7389 0.0000 1
Te6 0.8264 0.6520 0.4783 1
```

4.
Structure and computed X-ray powder pattern of TlBiTe2 (a DFT-relaxed cell (GGA-PBE, the Materials Project); Cu Kα).
Neutral-atom scattering factors, no anomalous dispersion.

Principal peaks in the range 10° ≤ 2θ ≤ 90°, by intensity:
Position (°2θ)	I (rel.)
39.26	100
27.45	86
27.56	42
48.59	36
64.11	32
71.11	24
64.30	16
23.74	13
71.27	12
56.65	12

Atomic structure:
```
data_TlBiTe2
_chemical_formula_sum 'Tl1 Bi1 Te2'
_symmetry_space_group_name_H-M 'P 1'
_symmetry_Int_Tables_number 1
_cell_length_a 4.5954
_cell_length_b 4.5954
_cell_length_c 6.4739
_cell_angle_alpha 90.00
_cell_angle_beta 90.00
_cell_angle_gamma 90.00
loop_
_symmetry_equiv_pos_as_xyz
'x,y,z'
loop_
_atom_site_label
_atom_site_fract_x
_atom_site_fract_y
_atom_site_fract_z
_atom_site_occupancy
Tl1 0.0000 0.0000 0.0000 1
Bi1 0.5000 0.5000 0.5000 1
Te1 0.0000 0.0000 0.5000 1
Te2 0.5000 0.5000 0.0000 1
```

5.
Structure and computed X-ray powder pattern of YBiTe3 (a DFT-relaxed cell (GGA-PBE, the Materials Project); Cu Kα).
Neutral-atom scattering factors, no anomalous dispersion.

Principal peaks in the range 10° ≤ 2θ ≤ 90°, by intensity:
Position (°2θ)	I (rel.)
27.29	100
40.95	37
36.92	35
49.92	19
66.48	16
60.81	11
56.31	10
71.95	10
68.30	9
16.83	8

Atomic structure:
```
data_YBiTe3
_chemical_formula_sum 'Y1 Bi1 Te3'
_symmetry_space_group_name_H-M 'P 1'
_symmetry_Int_Tables_number 1
_cell_length_a 10.8401
_cell_length_b 10.8401
_cell_length_c 10.8401
_cell_angle_alpha 23.46
_cell_angle_beta 23.46
_cell_angle_gamma 23.46
loop_
_symmetry_equiv_pos_as_xyz
'x,y,z'
loop_
_atom_site_label
_atom_site_fract_x
_atom_site_fract_y
_atom_site_fract_z
_atom_site_occupancy
Y1 0.0000 0.0000 0.0000 1
Bi1 0.7978 0.7978 0.7978 1
Te1 0.1849 0.1849 0.1849 1
Te2 0.3948 0.3948 0.3948 1
Te3 0.6150 0.6150 0.6150 1
```

6.
Structure and computed X-ray powder pattern of Th5Bi3 (a DFT-relaxed cell (GGA-PBE, the Materials Project); Cu Kα).
Neutral-atom scattering factors, no anomalous dispersion.

Principal peaks in the range 10° ≤ 2θ ≤ 90°, by intensity:
Position (°2θ)	I (rel.)
31.74	100
33.14	86
32.51	60
28.59	29
50.98	27
47.11	23
27.18	18
66.33	18
41.76	16
62.99	16

Atomic structure:
```
data_Th5Bi3
_chemical_formula_sum 'Th10 Bi6'
_symmetry_space_group_name_H-M 'P 1'
_symmetry_Int_Tables_number 1
_cell_length_a 9.5393
_cell_length_b 9.5393
_cell_length_c 6.5611
_cell_angle_alpha 90.00
_cell_angle_beta 90.00
_cell_angle_gamma 120.00
loop_
_symmetry_equiv_pos_as_xyz
'x,y,z'
loop_
_atom_site_label
_atom_site_fract_x
_atom_site_fract_y
_atom_site_fract_z
_atom_site_occupancy
Th1 0.0000 0.2525 0.2500 1
Th2 0.0000 0.7475 0.7500 1
Th3 0.2525 0.0000 0.2500 1
Th4 0.2525 0.2525 0.7500 1
Th5 0.3333 0.6667 0.0000 1
Th6 0.3333 0.6667 0.5000 1
Th7 0.6667 0.3333 0.0000 1
Th8 0.6667 0.3333 0.5000 1
Th9 0.7475 0.0000 0.7500 1
Th10 0.7475 0.7475 0.2500 1
Bi1 0.0000 0.3890 0.7500 1
Bi2 0.0000 0.6110 0.2500 1
Bi3 0.3890 0.0000 0.7500 1
Bi4 0.3890 0.3890 0.2500 1
Bi5 0.6110 0.0000 0.2500 1
Bi6 0.6110 0.6110 0.7500 1
```

7.
Structure and computed X-ray powder pattern of Ti2Bi (a DFT-relaxed cell (GGA-PBE, the Materials Project); Cu Kα).
Neutral-atom scattering factors, no anomalous dispersion.

Principal peaks in the range 10° ≤ 2θ ≤ 90°, by intensity:
Position (°2θ)	I (rel.)
39.48	100
28.36	88
29.83	68
42.69	55
21.91	52
32.48	38
52.05	36
25.26	32
76.00	29
58.68	27

Atomic structure:
```
data_Ti2Bi
_chemical_formula_sum 'Ti4 Bi2'
_symmetry_space_group_name_H-M 'P 1'
_symmetry_Int_Tables_number 1
_cell_length_a 7.6615
_cell_length_b 7.6615
_cell_length_c 7.6615
_cell_angle_alpha 147.90
_cell_angle_beta 147.90
_cell_angle_gamma 46.03
loop_
_symmetry_equiv_pos_as_xyz
'x,y,z'
loop_
_atom_site_label
_atom_site_fract_x
_atom_site_fract_y
_atom_site_fract_z
_atom_site_occupancy
Ti1 0.0000 0.5000 0.5000 1
Ti2 0.1371 0.1371 0.0000 1
Ti3 0.5000 0.0000 0.5000 1
Ti4 0.8629 0.8629 0.0000 1
Bi1 0.3491 0.3491 0.0000 1
Bi2 0.6509 0.6509 0.0000 1
```

8.
Structure and computed X-ray powder pattern of Ti8Bi9 (a DFT-relaxed cell (GGA-PBE, the Materials Project); Cu Kα).
Neutral-atom scattering factors, no anomalous dispersion.

Principal peaks in the range 10° ≤ 2θ ≤ 90°, by intensity:
Position (°2θ)	I (rel.)
33.52	100
28.56	70
34.33	53
37.90	48
25.32	45
35.45	40
27.33	37
29.87	35
50.93	35
65.62	34

Atomic structure:
```
data_Ti8Bi9
_chemical_formula_sum 'Ti16 Bi18'
_symmetry_space_group_name_H-M 'P 1'
_symmetry_Int_Tables_number 1
_cell_length_a 10.3202
_cell_length_b 10.3202
_cell_length_c 7.4818
_cell_angle_alpha 90.00
_cell_angle_beta 90.00
_cell_angle_gamma 90.00
loop_
_symmetry_equiv_pos_as_xyz
'x,y,z'
loop_
_atom_site_label
_atom_site_fract_x
_atom_site_fract_y
_atom_site_fract_z
_atom_site_occupancy
Ti1 0.0000 0.0000 0.0000 1
Ti2 0.0000 0.5000 0.0000 1
Ti3 0.1083 0.7500 0.1476 1
Ti4 0.2500 0.2500 0.4221 1
Ti5 0.2500 0.2500 0.9201 1
Ti6 0.2500 0.6083 0.8524 1
Ti7 0.2500 0.8917 0.8524 1
Ti8 0.3917 0.7500 0.1476 1
Ti9 0.5000 0.0000 0.0000 1
Ti10 0.5000 0.5000 0.0000 1
Ti11 0.6083 0.2500 0.8524 1
Ti12 0.7500 0.1083 0.1476 1
Ti13 0.7500 0.3917 0.1476 1
Ti14 0.7500 0.7500 0.0799 1
Ti15 0.7500 0.7500 0.5779 1
Ti16 0.8917 0.2500 0.8524 1
Bi1 0.0129 0.2500 0.1922 1
Bi2 0.0849 0.0849 0.6531 1
Bi3 0.0849 0.4151 0.6531 1
Bi4 0.2500 0.0129 0.1922 1
Bi5 0.2500 0.4871 0.1922 1
Bi6 0.2500 0.7500 0.5000 1
Bi7 0.4151 0.0849 0.6531 1
Bi8 0.4151 0.4151 0.6531 1
Bi9 0.4871 0.2500 0.1922 1
Bi10 0.5129 0.7500 0.8078 1
Bi11 0.5849 0.5849 0.3469 1
Bi12 0.5849 0.9151 0.3469 1
Bi13 0.7500 0.2500 0.5000 1
Bi14 0.7500 0.5129 0.8078 1
Bi15 0.7500 0.9871 0.8078 1
Bi16 0.9151 0.5849 0.3469 1
Bi17 0.9151 0.9151 0.3469 1
Bi18 0.9871 0.7500 0.8078 1
```

9.
Structure and computed X-ray powder pattern of TlBi2 (a DFT-relaxed cell (GGA-PBE, the Materials Project); Cu Kα).
Neutral-atom scattering factors, no anomalous dispersion.

Principal peaks in the range 10° ≤ 2θ ≤ 90°, by intensity:
Position (°2θ)	I (rel.)
31.31	100
31.63	86
55.93	35
45.10	33
62.98	28
55.73	20
74.40	16
80.61	15
65.32	13
41.03	12

Atomic structure:
```
data_TlBi2
_chemical_formula_sum 'Tl1 Bi2'
_symmetry_space_group_name_H-M 'P 1'
_symmetry_Int_Tables_number 1
_cell_length_a 5.7139
_cell_length_b 5.7139
_cell_length_c 3.4477
_cell_angle_alpha 90.00
_cell_angle_beta 90.00
_cell_angle_gamma 120.00
loop_
_symmetry_equiv_pos_as_xyz
'x,y,z'
loop_
_atom_site_label
_atom_site_fract_x
_atom_site_fract_y
_atom_site_fract_z
_atom_site_occupancy
Tl1 0.0000 0.0000 0.0000 1
Bi1 0.3333 0.6667 0.5000 1
Bi2 0.6667 0.3333 0.5000 1
```

10.
Structure and computed X-ray powder pattern of TmBi (a DFT-relaxed cell (GGA-PBE, the Materials Project); Cu Kα).
Neutral-atom scattering factors, no anomalous dispersion.

Principal peaks in the range 10° ≤ 2θ ≤ 90°, by intensity:
Position (°2θ)	I (rel.)
28.48	100
40.71	78
66.74	37
50.43	28
74.10	28
58.94	13
88.17	9
24.60	2
48.15	1
64.83	1

Atomic structure:
```
data_TmBi
_chemical_formula_sum 'Tm1 Bi1'
_symmetry_space_group_name_H-M 'P 1'
_symmetry_Int_Tables_number 1
_cell_length_a 4.4324
_cell_length_b 4.4324
_cell_length_c 4.4324
_cell_angle_alpha 60.00
_cell_angle_beta 60.00
_cell_angle_gamma 60.00
loop_
_symmetry_equiv_pos_as_xyz
'x,y,z'
loop_
_atom_site_label
_atom_site_fract_x
_atom_site_fract_y
_atom_site_fract_z
_atom_site_occupancy
Tm1 0.0000 0.0000 0.0000 1
Bi1 0.5000 0.5000 0.5000 1
```

11.
Structure and computed X-ray powder pattern of TmBi3 (a DFT-relaxed cell (GGA-PBE, the Materials Project); Cu Kα).
Neutral-atom scattering factors, no anomalous dispersion.

Principal peaks in the range 10° ≤ 2θ ≤ 90°, by intensity:
Position (°2θ)	I (rel.)
33.78	100
29.79	31
55.46	25
62.58	23
30.21	22
53.65	18
42.94	17
64.92	15
89.05	14
86.32	10

Atomic structure:
```
data_TmBi3
_chemical_formula_sum 'Tm2 Bi6'
_symmetry_space_group_name_H-M 'P 1'
_symmetry_Int_Tables_number 1
_cell_length_a 6.8329
_cell_length_b 6.8329
_cell_length_c 5.9986
_cell_angle_alpha 90.00
_cell_angle_beta 90.00
_cell_angle_gamma 120.00
loop_
_symmetry_equiv_pos_as_xyz
'x,y,z'
loop_
_atom_site_label
_atom_site_fract_x
_atom_site_fract_y
_atom_site_fract_z
_atom_site_occupancy
Tm1 0.3333 0.6667 0.2500 1
Tm2 0.6667 0.3333 0.7500 1
Bi1 0.1725 0.3451 0.7500 1
Bi2 0.1725 0.8275 0.7500 1
Bi3 0.3451 0.1725 0.2500 1
Bi4 0.6549 0.8275 0.7500 1
Bi5 0.8275 0.1725 0.2500 1
Bi6 0.8275 0.6549 0.2500 1
```

12.
Structure and computed X-ray powder pattern of TmBi3 (a DFT-relaxed cell (GGA-PBE, the Materials Project); Cu Kα).
Neutral-atom scattering factors, no anomalous dispersion.

Principal peaks in the range 10° ≤ 2θ ≤ 90°, by intensity:
Position (°2θ)	I (rel.)
31.59	100
38.52	30
51.31	26
65.38	26
32.57	23
57.50	19
84.14	14
65.96	13
55.62	10
81.18	7

Atomic structure:
```
data_TmBi3
_chemical_formula_sum 'Tm1 Bi3'
_symmetry_space_group_name_H-M 'P 1'
_symmetry_Int_Tables_number 1
_cell_length_a 6.4151
_cell_length_b 6.4151
_cell_length_c 6.4151
_cell_angle_alpha 137.27
_cell_angle_beta 137.27
_cell_angle_gamma 62.02
loop_
_symmetry_equiv_pos_as_xyz
'x,y,z'
loop_
_atom_site_label
_atom_site_fract_x
_atom_site_fract_y
_atom_site_fract_z
_atom_site_occupancy
Tm1 0.0000 0.0000 0.0000 1
Bi1 0.2500 0.7500 0.5000 1
Bi2 0.5000 0.5000 0.0000 1
Bi3 0.7500 0.2500 0.5000 1
```